Computed powder diffraction line list of SmTiIr4 for Cu Kα, 1.54184 Å, from the GGA-PBE geometry in Alexandria.
Lines closer than 0.1° are merged.

Cell and atoms:
a = 7.476 Å, b = 7.476 Å, c = 7.476 Å
α = 90.00°, β = 90.00°, γ = 90.00°
Space group F-43m (No. 216)
Symmetry-distinct sites (fractional):
Sm (0.000, 0.000, 0.000) (multiplicity 4)
Ti (0.250, 0.250, 0.750) (multiplicity 4)
Ir (0.125, 0.125, 0.375) (multiplicity 16)

Main lines, sorted by position (2θ = 10–80°):
| 2θ/deg | d (Å) | I (rel.) | h k l |
| --- | --- | --- | --- |
| 20.6 | 4.316 | 40 | 1 1 1 |
| 23.8 | 3.738 | 4 | 2 0 0 |
| 33.9 | 2.643 | 11 | 2 2 0 |
| 40.0 | 2.254 | 100 | 3 1 1 |
| 41.9 | 2.158 | 63 | 2 2 2 |
| 48.7 | 1.869 | 17 | 4 0 0 |
| 53.4 | 1.715 | 10 | 3 3 1 |
| 54.9 | 1.672 | 2 | 4 2 0 |
| 60.7 | 1.526 | 4 | 4 2 2 |
| 64.8 | 1.439 | 32 | 5 1 1 |
| 71.4 | 1.322 | 31 | 4 4 0 |
| 75.2 | 1.264 | 8 | 5 3 1 |

Computed powder diffraction line list of Sm4TlIr2 for Cu Kα, 1.54184 Å, from the GGA-PBE geometry in Alexandria.
Lines closer than 0.1° are merged.

Cell and atoms:
a = 9.103 Å, b = 9.103 Å, c = 8.910 Å
α = 90.00°, β = 90.00°, γ = 90.00°
Space group I-42d (No. 122)
Symmetry-distinct sites (fractional):
Sm (0.070, 0.674, 0.423) (multiplicity 16)
Tl (0.000, 0.000, 0.500) (multiplicity 4)
Ir (0.132, 0.750, 0.125) (multiplicity 8)

Main lines, sorted by position (2θ = 10–80°):
| 2θ/deg | d (Å) | I (rel.) | h k l |
| --- | --- | --- | --- |
| 24.0 | 3.703 | 12 | 2 1 1 |
| 31.1 | 2.875 | 100 | 3 0 1 |
| 31.7 | 2.823 | 48 | 1 0 3 |
| 37.0 | 2.429 | 37 | 3 2 1 |
| 37.2 | 2.418 | 31 | 3 1 2 |
| 37.5 | 2.399 | 16 | 2 1 3 |
| 47.3 | 1.924 | 15 | 3 2 3 |
| 51.2 | 1.784 | 12 | 4 3 1 |
| 51.9 | 1.762 | 15 | 3 1 4 |
| 63.0 | 1.476 | 12 | 6 1 1 |
| 63.1 | 1.473 | 10 | 5 3 2 |
| 78.8 | 1.215 | 10 | 2 1 7 |

Computed powder diffraction line list of SmZn3Ir for Cu Kα, 1.54184 Å, from the GGA-PBE geometry in Alexandria.
Lines closer than 0.1° are merged.

Cell and atoms:
a = 4.985 Å, b = 8.111 Å, c = 9.321 Å
α = 90.00°, β = 90.00°, γ = 90.00°
Space group Imma (No. 74)
Symmetry-distinct sites (fractional):
Sm (0.000, 0.250, 0.013) (multiplicity 4)
Zn (0.000, 0.250, 0.673) (multiplicity 4)
Zn (0.250, 0.018, 0.250) (multiplicity 8)
Ir (0.000, 0.000, 0.500) (multiplicity 4)

Main lines, sorted by position (2θ = 10–80°):
| 2θ/deg | d (Å) | I (rel.) | h k l |
| --- | --- | --- | --- |
| 19.0 | 4.660 | 18 | 0 0 2 |
| 30.0 | 2.981 | 100 | 1 2 1 |
| 38.6 | 2.330 | 28 | 0 0 4 |
| 40.8 | 2.211 | 77 | 1 2 3 |
| 41.1 | 2.198 | 45 | 2 0 2 |
| 44.7 | 2.028 | 26 | 0 4 0 |
| 47.0 | 1.932 | 15 | 2 2 2 |
| 57.5 | 1.604 | 14 | 1 2 5 |
| 60.5 | 1.530 | 14 | 0 4 4 |
| 61.1 | 1.517 | 14 | 3 2 1 |
| 62.3 | 1.490 | 24 | 2 4 2 |
| 68.0 | 1.378 | 17 | 3 2 3 |

Computed powder diffraction line list of Sm3ZnIr8 for Cu Kα, 1.54184 Å, from the GGA-PBE geometry in Alexandria.
Lines closer than 0.1° are merged.

Cell and atoms:
a = 5.3669 Å, b = 5.3669 Å, c = 26.2156 Å
α = 90.00°, β = 90.00°, γ = 120.00°
Space group R3m (No. 160, hexagonal axes)
Symmetry-distinct sites (fractional):
Sm (0.0000, 0.0000, 0.0000) (multiplicity 3)
Sm (0.0000, 0.0000, 0.1283) (multiplicity 3)
Sm (0.0000, 0.0000, 0.5106) (multiplicity 3)
Zn (0.0000, 0.0000, 0.6373) (multiplicity 3)
Ir (0.0000, 0.0000, 0.3154) (multiplicity 3)
Ir (0.0000, 0.0000, 0.8157) (multiplicity 3)
Ir (0.0006, 0.5003, 0.5670) (multiplicity 9)
Ir (0.1669, 0.3338, 0.3985) (multiplicity 9)

Main lines, sorted by position (2θ = 10–80°):
| 2θ/deg | d (Å) | I (rel.) | h k l |
| --- | --- | --- | --- |
| 20.3 | 4.378 | 22 | 0 0 6 |
| 33.4 | 2.681 | 17 | 1 1 0 |
| 39.4 | 2.286 | 100 | 2 0 2 |
| 41.2 | 2.190 | 41 | 0 2 4 |
| 41.3 | 2.185 | 13 | 0 0 12 |
| 48.0 | 1.896 | 12 | 2 0 8 |
| 52.6 | 1.740 | 4 | 0 2 10 |
| 59.7 | 1.549 | 5 | 3 0 0 |
| 63.8 | 1.460 | 24 | 3 0 6 |
| 63.9 | 1.458 | 8 | 2 0 14 |
| 70.1 | 1.342 | 15 | 2 2 0 |
| 70.3 | 1.339 | 14 | 0 2 16 |

Computed powder diffraction line list of SmZn10Ir2 for Cu Kα, 1.54184 Å, from the GGA-PBE geometry in Alexandria.
Lines closer than 0.1° are merged.

Cell and atoms:
a = 5.479 Å, b = 12.359 Å, c = 12.470 Å
α = 90.00°, β = 90.00°, γ = 90.00°
Space group Fmmm (No. 69)
Symmetry-distinct sites (fractional):
Sm (0.000, 0.000, 0.000) (multiplicity 4)
Zn (0.000, 0.109, 0.391) (multiplicity 16)
Zn (0.000, 0.180, 0.170) (multiplicity 16)
Zn (0.250, 0.000, 0.250) (multiplicity 8)
Ir (0.250, 0.250, 0.000) (multiplicity 8)

Main lines, sorted by position (2θ = 10–80°):
| 2θ/deg | d (Å) | I (rel.) | h k l |
| --- | --- | --- | --- |
| 14.2 | 6.235 | 38 | 0 0 2 |
| 14.3 | 6.180 | 20 | 0 2 0 |
| 20.2 | 4.389 | 29 | 0 2 2 |
| 34.8 | 2.581 | 30 | 1 3 3 |
| 38.7 | 2.324 | 100 | 2 2 2 |
| 40.4 | 2.233 | 28 | 1 1 5 |
| 40.7 | 2.217 | 32 | 1 5 1 |
| 41.1 | 2.195 | 61 | 0 4 4 |
| 44.0 | 2.058 | 33 | 2 0 4 |
| 44.2 | 2.050 | 27 | 2 4 0 |
| 46.5 | 1.954 | 31 | 0 6 2 |
| 73.4 | 1.291 | 25 | 2 6 6 |

Computed powder diffraction line list of SnIr3 for Cu Kα, 1.54184 Å, from the GGA-PBE geometry in Alexandria.
Lines closer than 0.1° are merged.

Cell and atoms:
a = 5.6847 Å, b = 5.6847 Å, c = 4.5414 Å
α = 90.00°, β = 90.00°, γ = 120.00°
Space group P6_3/mmc (No. 194)
Symmetry-distinct sites (fractional):
Sn (0.3333, 0.6667, 0.2500) (multiplicity 2)
Ir (0.1623, 0.3246, 0.7500) (multiplicity 6)

Main lines, sorted by position (2θ = 10–80°):
| 2θ/deg | d (Å) | I (rel.) | h k l |
| --- | --- | --- | --- |
| 18.0 | 4.923 | 3 | 1 0 0 |
| 26.7 | 3.338 | 2 | 1 0 1 |
| 31.5 | 2.842 | 1 | 1 1 0 |
| 36.5 | 2.462 | 24 | 2 0 0 |
| 39.7 | 2.271 | 26 | 0 0 2 |
| 41.7 | 2.164 | 100 | 2 0 1 |
| 53.2 | 1.722 | 2 | 2 1 1 |
| 55.0 | 1.669 | 15 | 2 0 2 |
| 65.7 | 1.421 | 18 | 2 2 0 |
| 73.4 | 1.289 | 19 | 2 0 3 |
| 77.6 | 1.231 | 3 | 4 0 0 |
| 79.6 | 1.205 | 21 | 2 2 2 |

Computed powder diffraction line list of Sn7Ir3 for Cu Kα, 1.54184 Å, from the GGA-PBE geometry in Alexandria.
Lines closer than 0.1° are merged.

Cell and atoms:
a = 9.504 Å, b = 9.504 Å, c = 9.504 Å
α = 90.00°, β = 90.00°, γ = 90.00°
Space group Im-3m (No. 229)
Symmetry-distinct sites (fractional):
Sn (0.000, 0.250, 0.500) (multiplicity 12)
Sn (0.165, 0.165, 0.165) (multiplicity 16)
Ir (0.000, 0.000, 0.342) (multiplicity 12)

Main lines, sorted by position (2θ = 10–80°):
| 2θ/deg | d (Å) | I (rel.) | h k l |
| --- | --- | --- | --- |
| 18.7 | 4.752 | 9 | 2 0 0 |
| 22.9 | 3.880 | 30 | 2 1 1 |
| 32.6 | 2.744 | 35 | 2 2 2 |
| 35.3 | 2.540 | 25 | 3 2 1 |
| 40.3 | 2.240 | 100 | 3 3 0 |
| 42.5 | 2.125 | 7 | 4 2 0 |
| 46.8 | 1.940 | 20 | 4 2 2 |
| 54.6 | 1.680 | 6 | 4 4 0 |
| 58.2 | 1.584 | 20 | 6 0 0 |
| 60.0 | 1.542 | 10 | 5 3 2 |
| 63.4 | 1.466 | 16 | 5 4 1 |
| 73.2 | 1.293 | 38 | 6 3 3 |

Computed powder diffraction line list of Sn4Ir for Cu Kα, 1.54184 Å, from the GGA-PBE geometry in Alexandria.
Lines closer than 0.1° are merged.

Cell and atoms:
a = 6.419 Å, b = 6.419 Å, c = 23.050 Å
α = 90.00°, β = 90.00°, γ = 90.00°
Space group I4_1/acd (No. 142, origin choice 2)
Symmetry-distinct sites (fractional):
Sn (0.172, 0.077, 0.438) (multiplicity 32)
Ir (0.000, 0.250, 0.125) (multiplicity 8)

Main lines, sorted by position (2θ = 10–80°):
| 2θ/deg | d (Å) | I (rel.) | h k l |
| --- | --- | --- | --- |
| 15.4 | 5.762 | 49 | 0 0 4 |
| 21.0 | 4.223 | 36 | 1 1 2 |
| 30.5 | 2.932 | 79 | 1 1 6 |
| 31.9 | 2.804 | 36 | 2 0 4 |
| 33.3 | 2.689 | 97 | 2 1 3 |
| 36.9 | 2.437 | 74 | 2 1 5 |
| 39.7 | 2.270 | 32 | 2 2 0 |
| 42.1 | 2.144 | 100 | 2 0 8 |
| 44.1 | 2.055 | 29 | 1 1 10 |
| 45.4 | 1.999 | 93 | 3 1 2 |
| 54.2 | 1.693 | 26 | 2 1 11 |
| 66.4 | 1.408 | 39 | 3 3 6 |

Computed powder diffraction line list of Sn4Ir3 for Cu Kα, 1.54184 Å, from the GGA-PBE geometry in Alexandria.
Lines closer than 0.1° are merged.

Cell and atoms:
a = 12.631 Å, b = 4.223 Å, c = 5.608 Å
α = 90.00°, β = 105.78°, γ = 90.00°
Space group C2/m (No. 12)
Symmetry-distinct sites (fractional):
Sn (0.070, 0.000, 0.315) (multiplicity 4)
Sn (0.173, 0.500, 0.818) (multiplicity 4)
Ir (0.000, 0.500, 0.000) (multiplicity 2)
Ir (0.225, 0.500, 0.326) (multiplicity 4)

Main lines, sorted by position (2θ = 10–80°):
| 2θ/deg | d (Å) | I (rel.) | h k l |
| --- | --- | --- | --- |
| 18.8 | 4.723 | 39 | 2 0 -1 |
| 26.6 | 3.354 | 35 | 1 1 -1 |
| 30.6 | 2.924 | 18 | 3 1 0 |
| 37.8 | 2.382 | 60 | 3 1 1 |
| 40.1 | 2.250 | 31 | 2 0 2 |
| 40.8 | 2.211 | 92 | 3 1 -2 |
| 42.1 | 2.148 | 36 | 1 1 2 |
| 42.9 | 2.109 | 100 | 0 2 0 |
| 43.2 | 2.093 | 27 | 6 0 -1 |
| 60.1 | 1.540 | 19 | 2 2 2 |
| 62.5 | 1.486 | 19 | 6 2 -1 |
| 64.6 | 1.443 | 18 | 6 0 2 |

Computed powder diffraction line list of Sn4Ir for Cu Kα, 1.54184 Å, from the GGA-PBE geometry in Alexandria.
Lines closer than 0.1° are merged.

Cell and atoms:
a = 6.426 Å, b = 11.457 Å, c = 6.443 Å
α = 90.00°, β = 90.00°, γ = 90.00°
Space group Ccce (No. 68, origin choice 2)
Symmetry-distinct sites (fractional):
Sn (0.171, 0.125, 0.078) (multiplicity 16)
Ir (0.000, 0.250, 0.750) (multiplicity 4)

Main lines, sorted by position (2θ = 10–80°):
| 2θ/deg | d (Å) | I (rel.) | h k l |
| --- | --- | --- | --- |
| 15.5 | 5.728 | 48 | 0 2 0 |
| 21.0 | 4.228 | 35 | 1 1 1 |
| 30.6 | 2.925 | 78 | 1 3 1 |
| 31.9 | 2.805 | 36 | 2 2 0 |
| 32.0 | 2.793 | 62 | 1 1 2 |
| 34.9 | 2.570 | 100 | 2 2 1 |
| 39.2 | 2.299 | 36 | 1 3 2 |
| 39.6 | 2.275 | 31 | 2 0 2 |
| 42.2 | 2.139 | 97 | 0 4 2 |
| 44.3 | 2.046 | 28 | 1 5 1 |
| 45.3 | 2.003 | 94 | 1 1 3 |
| 66.3 | 1.409 | 36 | 3 3 3 |

Computed powder diffraction line list of Sr3Sn3Ir for Cu Kα, 1.54184 Å, from the GGA-PBE geometry in Alexandria.
Lines closer than 0.1° are merged.

Cell and atoms:
a = 11.920 Å, b = 4.799 Å, c = 15.884 Å
α = 90.00°, β = 109.43°, γ = 90.00°
Space group C2/m (No. 12)
Symmetry-distinct sites (fractional):
Sr (0.019, 0.000, 0.386) (multiplicity 4)
Sr (0.100, 0.000, 0.918) (multiplicity 4)
Sr (0.243, 0.000, 0.238) (multiplicity 4)
Sn (0.042, 0.500, 0.243) (multiplicity 4)
Sn (0.112, 0.500, 0.078) (multiplicity 4)
Sn (0.171, 0.500, 0.540) (multiplicity 4)
Ir (0.242, 0.500, 0.390) (multiplicity 4)

Main lines, sorted by position (2θ = 10–80°):
| 2θ/deg | d (Å) | I (rel.) | h k l |
| --- | --- | --- | --- |
| 14.9 | 5.954 | 73 | 2 0 -1 |
| 20.2 | 4.402 | 28 | 1 1 -1 |
| 28.7 | 3.111 | 61 | 1 1 3 |
| 29.2 | 3.057 | 100 | 1 1 -4 |
| 33.3 | 2.687 | 37 | 3 1 -4 |
| 35.5 | 2.530 | 100 | 3 1 2 |
| 35.8 | 2.508 | 51 | 4 0 -5 |
| 36.0 | 2.497 | 35 | 0 0 6 |
| 37.5 | 2.399 | 73 | 0 2 0 |
| 48.6 | 1.872 | 27 | 3 1 5 |
| 52.8 | 1.734 | 34 | 4 2 -5 |
| 57.4 | 1.605 | 40 | 7 1 -3 |

Computed powder diffraction line list of SrSn3Ir3 for Cu Kα, 1.54184 Å, from the GGA-PBE geometry in Alexandria.
Lines closer than 0.1° are merged.

Cell and atoms:
a = 7.295 Å, b = 7.295 Å, c = 7.295 Å
α = 90.00°, β = 90.00°, γ = 90.00°
Space group Pm-3n (No. 223)
Symmetry-distinct sites (fractional):
Sr (0.000, 0.000, 0.000) (multiplicity 2)
Sn (0.000, 0.250, 0.500) (multiplicity 6)
Ir (0.000, 0.500, 0.250) (multiplicity 6)

Main lines, sorted by position (2θ = 10–80°):
| 2θ/deg | d (Å) | I (rel.) | h k l |
| --- | --- | --- | --- |
| 17.2 | 5.159 | 58 | 1 1 0 |
| 24.4 | 3.648 | 42 | 2 0 0 |
| 27.3 | 3.263 | 14 | 2 1 0 |
| 30.0 | 2.978 | 100 | 2 1 1 |
| 39.0 | 2.307 | 15 | 3 1 0 |
| 42.9 | 2.106 | 57 | 2 2 2 |
| 46.6 | 1.950 | 60 | 3 2 1 |
| 50.0 | 1.824 | 40 | 4 0 0 |
| 56.4 | 1.631 | 17 | 4 2 0 |
| 59.4 | 1.555 | 15 | 3 3 2 |
| 70.7 | 1.332 | 18 | 5 2 1 |
| 73.4 | 1.290 | 26 | 4 4 0 |

Computed powder diffraction line list of SrZnSn2Ir2 for Cu Kα, 1.54184 Å, from the GGA-PBE geometry in Alexandria.
Lines closer than 0.1° are merged.

Cell and atoms:
a = 4.775 Å, b = 4.775 Å, c = 6.010 Å
α = 90.00°, β = 90.00°, γ = 90.00°
Space group P4/mmm (No. 123)
Symmetry-distinct sites (fractional):
Sr (0.000, 0.000, 0.000) (multiplicity 1)
Zn (0.000, 0.000, 0.500) (multiplicity 1)
Sn (0.500, 0.500, 0.248) (multiplicity 2)
Ir (0.000, 0.500, 0.500) (multiplicity 2)

Main lines, sorted by position (2θ = 10–80°):
| 2θ/deg | d (Å) | I (rel.) | h k l |
| --- | --- | --- | --- |
| 14.7 | 6.010 | 100 | 0 0 1 |
| 30.4 | 2.944 | 89 | 1 1 1 |
| 35.3 | 2.543 | 62 | 1 0 2 |
| 37.7 | 2.388 | 98 | 2 0 0 |
| 40.2 | 2.245 | 57 | 1 1 2 |
| 40.7 | 2.219 | 33 | 2 0 1 |
| 52.6 | 1.741 | 40 | 2 1 2 |
| 53.2 | 1.723 | 18 | 1 1 3 |
| 54.3 | 1.688 | 34 | 2 2 0 |
| 63.5 | 1.465 | 22 | 3 1 1 |
| 69.7 | 1.349 | 24 | 3 1 2 |
| 74.6 | 1.272 | 27 | 2 0 4 |